Structure and computed powder diffraction line list of Ti2AgN3 (a crystal structure in the Materials Project, relaxed with GGA-PBE; Cu Ka).
Lines closer than 0.1° are merged.

The 10 most intense peaks (15° ≤ 2θ ≤ 90°), sorted by position:
| h k l | two_theta | I (rel.) |
| --- | --- | --- |
| 0 0 9 | 30.92 | 58.2 |
| 1 0 1 | 33.98 | 77.2 |
| 1 0 4 | 36.59 | 100.0 |
| 0 1 5 | 38.08 | 69.0 |
| 0 1 8 | 44.05 | 20.4 |
| 1 0 10 | 49.04 | 39.4 |
| 1 0 13 | 57.69 | 21.8 |
| 1 1 0 | 60.47 | 37.3 |
| 0 1 14 | 60.85 | 33.0 |
| 1 1 9 | 69.47 | 30.6 |

Structural model:
Lattice parameters (Å, degrees): 3.0619 3.0619 26.0308 90.00 90.00 120.00
Fractional positions:
Ti 0.0059 0.3330 0.3845
Ti 0.3271 0.9941 0.0511
Ti 0.3330 0.0059 0.6155
Ti 0.6670 0.6729 0.7178
Ti 0.6729 0.6670 0.2822
Ti 0.9941 0.3271 0.9489
Ag 0.0000 0.3311 0.1667
Ag 0.3311 0.0000 0.8333
Ag 0.6689 0.6689 0.5000
N 0.0000 0.3392 0.6667
N 0.0061 0.3336 0.2479
N 0.3275 0.9939 0.9146
N 0.3336 0.0061 0.7521
N 0.3392 0.0000 0.3333
N 0.6608 0.6608 0.0000
N 0.6664 0.6725 0.5813
N 0.6725 0.6664 0.4187
N 0.9939 0.3275 0.0854